Record 1
Diffraction record for Ac5Pt2Au2. The PXRD pattern is calculated, not measured: it uses a DFT-relaxed cell (PBE, Alexandria) and Cu Ka.
Neutral-atom scattering factors, no anomalous dispersion.

Main lines, in order of falling intensity (2θ = 10–80°):
- 2θ 28.22, I 100
- 2θ 28.40, I 50
- 2θ 40.20, I 40
- 2θ 40.33, I 38
- 2θ 40.73, I 38
- 2θ 66.07, I 27
- 2θ 50.08, I 22
- 2θ 58.36, I 13
- 2θ 49.60, I 11
- 2θ 50.51, I 11

Atomic structure:
```
data_Ac5Pt2Au2
_chemical_formula_sum 'Ac5 Pt2 Au2'
_cell_length_a 4.471
_cell_length_b 7.691
_cell_length_c 9.981
_cell_angle_alpha 75.98
_cell_angle_beta 77.08
_cell_angle_gamma 73.14
_space_group_name_H-M_alt 'P -1'
_space_group_IT_number 2
loop_
_space_group_symop_operation_xyz
'x,y,z'
'-x,-y,-z'
loop_
_atom_site_label
_atom_site_fract_x
_atom_site_fract_y
_atom_site_fract_z
_atom_site_occupancy
Ac1 0.000 0.000 0.000 1
Ac2 0.204 0.381 0.211 1
Ac3 0.391 0.818 0.402 1
Pt1 0.199 0.905 0.698 1
Au1 0.397 0.310 0.895 1
```

***

Record 2
Diffraction record for LiCe2Pa. The PXRD pattern is calculated, not measured: it uses a DFT-relaxed cell (PBE, Alexandria) and Cu Ka.
Neutral-atom scattering factors, no anomalous dispersion.

Main lines, in order of falling intensity (2θ = 10–80°):
- 2θ 33.59, I 100
- 2θ 40.81, I 30
- 2θ 54.88, I 25
- 2θ 69.71, I 25
- 2θ 29.88, I 22
- 2θ 35.07, I 22
- 2θ 39.08, I 18
- 2θ 61.97, I 17
- 2θ 41.80, I 12
- 2θ 70.60, I 12

Atomic structure:
```
data_LiCe2Pa
_chemical_formula_sum 'Li1 Ce2 Pa1'
_cell_length_a 3.127
_cell_length_b 3.127
_cell_length_c 10.235
_cell_angle_alpha 90.00
_cell_angle_beta 90.00
_cell_angle_gamma 90.00
_space_group_name_H-M_alt 'P 4/m m m'
_space_group_IT_number 123
_space_group_name_Hall '-P 4 2'
loop_
_atom_site_label
_atom_site_fract_x
_atom_site_fract_y
_atom_site_fract_z
_atom_site_occupancy
Li1 0.000 0.000 0.000 1
Ce1 0.500 0.500 0.258 1
Pa1 0.000 0.000 0.500 1
```

***

Record 3
Diffraction record for TlBiPd. The PXRD pattern is calculated, not measured: it uses a DFT-relaxed cell (PBE, Alexandria) and Cu Ka.
Neutral-atom scattering factors, no anomalous dispersion.

Main lines, in order of falling intensity (2θ = 10–80°):
- 2θ 31.44, I 100
- 2θ 33.22, I 88
- 2θ 39.88, I 51
- 2θ 39.64, I 32
- 2θ 30.19, I 26
- 2θ 41.83, I 23
- 2θ 54.41, I 22
- 2θ 55.57, I 21
- 2θ 62.26, I 20
- 2θ 34.91, I 19

Atomic structure:
```
data_TlBiPd
_chemical_formula_sum 'Tl8 Bi8 Pd8'
_cell_length_a 5.921
_cell_length_b 9.503
_cell_length_c 10.357
_cell_angle_alpha 90.00
_cell_angle_beta 90.00
_cell_angle_gamma 90.00
_space_group_name_H-M_alt 'F m m m'
_space_group_IT_number 69
_space_group_name_Hall '-F 2 2'
loop_
_atom_site_label
_atom_site_fract_x
_atom_site_fract_y
_atom_site_fract_z
_atom_site_occupancy
Tl1 0.000 0.166 0.000 1
Bi1 0.000 0.000 0.338 1
Pd1 0.250 0.250 0.250 1
```

***

Record 4
Diffraction record for Pr3Ho4Th. The PXRD pattern is calculated, not measured: it uses a DFT-relaxed cell (PBE, Alexandria) and Cu Ka.
Neutral-atom scattering factors, no anomalous dispersion.

Main lines, in order of falling intensity (2θ = 10–80°):
- 2θ 32.31, I 100
- 2θ 30.68, I 25
- 2θ 28.34, I 24
- 2θ 59.97, I 23
- 2θ 55.58, I 22
- 2θ 50.18, I 19
- 2θ 42.25, I 16
- 2θ 60.99, I 11
- 2θ 60.88, I 5
- 2θ 78.17, I 5

Atomic structure:
```
data_Pr3Ho4Th
_chemical_formula_sum 'Pr6 Ho8 Th2'
_cell_length_a 11.658
_cell_length_b 7.263
_cell_length_c 6.305
_cell_angle_alpha 90.00
_cell_angle_beta 90.00
_cell_angle_gamma 90.00
_space_group_name_H-M_alt 'P m n 21'
_space_group_IT_number 31
loop_
_space_group_symop_operation_xyz
'x,y,z'
'-x+1/2,-y,z+1/2'
'-x,y,z'
'x+1/2,-y,z+1/2'
loop_
_atom_site_label
_atom_site_fract_x
_atom_site_fract_y
_atom_site_fract_z
_atom_site_occupancy
Pr1 0.000 0.121 0.000 1
Pr2 0.247 0.124 0.337 1
Ho1 0.000 0.380 0.506 1
Ho2 0.000 0.627 0.011 1
Ho3 0.248 0.624 0.345 1
Th1 0.000 0.868 0.513 1
```

***

Record 5
Diffraction record for OsCl3F6. The PXRD pattern is calculated, not measured: it uses a DFT-relaxed cell (PBE, Alexandria) and Cu Ka.
Neutral-atom scattering factors, no anomalous dispersion.

Main lines, in order of falling intensity (2θ = 10–80°):
- 2θ 23.28, I 100
- 2θ 22.09, I 91
- 2θ 19.09, I 79
- 2θ 12.15, I 72
- 2θ 24.44, I 64
- 2θ 20.56, I 59
- 2θ 18.07, I 44
- 2θ 23.04, I 36
- 2θ 35.72, I 30
- 2θ 41.44, I 29

Atomic structure:
```
data_OsCl3F6
_chemical_formula_sum 'Os2 Cl6 F12'
_cell_length_a 9.888
_cell_length_b 5.279
_cell_length_c 7.338
_cell_angle_alpha 90.00
_cell_angle_beta 96.94
_cell_angle_gamma 90.00
_space_group_name_H-M_alt 'C 1 2/m 1'
_space_group_IT_number 12
loop_
_space_group_symop_operation_xyz
'x,y,z'
'-x,-y,-z'
'-x,y,-z'
'x,-y,z'
'x+1/2,y+1/2,z'
'-x+1/2,-y+1/2,-z'
'-x+1/2,y+1/2,-z'
'x+1/2,-y+1/2,z'
loop_
_atom_site_label
_atom_site_fract_x
_atom_site_fract_y
_atom_site_fract_z
_atom_site_occupancy
Os1 0.000 0.000 0.000 1
Cl1 0.000 0.500 0.500 1
Cl2 0.231 0.500 0.506 1
F1 0.064 0.000 0.768 1
F2 0.127 0.249 0.083 1
```

***

Record 6
Diffraction record for BaYCuSbO5. The PXRD pattern is calculated, not measured: it uses a DFT-relaxed cell (PBE, Alexandria) and Cu Ka.
Neutral-atom scattering factors, no anomalous dispersion.

Main lines, in order of falling intensity (2θ = 10–80°):
- 2θ 31.50, I 100
- 2θ 30.65, I 58
- 2θ 55.03, I 40
- 2θ 43.90, I 39
- 2θ 24.39, I 26
- 2θ 34.35, I 16
- 2θ 46.69, I 14
- 2θ 56.90, I 14
- 2θ 63.53, I 12
- 2θ 63.83, I 12

Atomic structure:
```
data_BaYCuSbO5
_chemical_formula_sum 'Ba1 Y1 Cu1 Sb1 O5'
_cell_length_a 4.125
_cell_length_b 4.125
_cell_length_c 7.833
_cell_angle_alpha 90.00
_cell_angle_beta 90.00
_cell_angle_gamma 90.00
_space_group_name_H-M_alt 'P 4 m m'
_space_group_IT_number 99
loop_
_space_group_symop_operation_xyz
'x,y,z'
'-y,x,z'
'-x,-y,z'
'y,-x,z'
'-x,y,z'
'y,x,z'
'x,-y,z'
'-y,-x,z'
loop_
_atom_site_label
_atom_site_fract_x
_atom_site_fract_y
_atom_site_fract_z
_atom_site_occupancy
Ba1 0.000 0.000 0.000 1
Y1 0.000 0.000 0.439 1
Cu1 0.500 0.500 0.288 1
Sb1 0.500 0.500 0.684 1
O1 0.000 0.500 0.284 1
O2 0.000 0.500 0.655 1
O3 0.500 0.500 0.936 1
```

***

Record 7
Diffraction record for Ac3Ag4Au4. The PXRD pattern is calculated, not measured: it uses a DFT-relaxed cell (PBE, Alexandria) and Cu Ka.
Neutral-atom scattering factors, no anomalous dispersion.

Main lines, in order of falling intensity (2θ = 10–80°):
- 2θ 31.69, I 100
- 2θ 38.25, I 59
- 2θ 30.27, I 58
- 2θ 39.10, I 40
- 2θ 29.93, I 37
- 2θ 44.64, I 28
- 2θ 60.82, I 22
- 2θ 33.09, I 18
- 2θ 60.29, I 16
- 2θ 60.13, I 16

Atomic structure:
```
data_Ac3Ag4Au4
_chemical_formula_sum 'Ac3 Ag4 Au4'
_cell_length_a 4.060
_cell_length_b 4.608
_cell_length_c 15.352
_cell_angle_alpha 81.48
_cell_angle_beta 82.55
_cell_angle_gamma 89.95
_space_group_name_H-M_alt 'P -1'
_space_group_IT_number 2
loop_
_space_group_symop_operation_xyz
'x,y,z'
'-x,-y,-z'
loop_
_atom_site_label
_atom_site_fract_x
_atom_site_fract_y
_atom_site_fract_z
_atom_site_occupancy
Ac1 0.000 0.000 0.000 1
Ac2 0.147 0.646 0.707 1
Ag1 0.254 0.254 0.492 1
Ag2 0.403 0.904 0.193 1
Au1 0.311 0.811 0.377 1
Au2 0.452 0.453 0.094 1
```

***

Record 8
Diffraction record for TbY2ErBr4. The PXRD pattern is calculated, not measured: it uses a DFT-relaxed cell (PBE, Alexandria) and Cu Ka.
Neutral-atom scattering factors, no anomalous dispersion.

Main lines, in order of falling intensity (2θ = 10–80°):
- 2θ 34.41, I 100
- 2θ 30.08, I 56
- 2θ 38.71, I 53
- 2θ 30.83, I 41
- 2θ 43.62, I 32
- 2θ 56.25, I 24
- 2θ 66.36, I 21
- 2θ 69.39, I 17
- 2θ 59.28, I 15
- 2θ 60.92, I 15

Atomic structure:
```
data_TbY2ErBr4
_chemical_formula_sum 'Tb4 Y8 Er4 Br16'
_cell_length_a 7.081
_cell_length_b 11.882
_cell_length_c 10.112
_cell_angle_alpha 90.00
_cell_angle_beta 90.00
_cell_angle_gamma 90.00
_space_group_name_H-M_alt 'F m m 2'
_space_group_IT_number 42
_space_group_name_Hall 'F 2 -2'
loop_
_atom_site_label
_atom_site_fract_x
_atom_site_fract_y
_atom_site_fract_z
_atom_site_occupancy
Tb1 0.000 0.000 0.000 1
Y1 0.250 0.250 0.396 1
Er1 0.000 0.000 0.502 1
Br1 0.000 0.249 0.146 1
Br2 0.248 0.000 0.749 1
```

***

Record 9
Diffraction record for RbMnCl5. The PXRD pattern is calculated, not measured: it uses a DFT-relaxed cell (PBE, Alexandria) and Cu Ka.
Neutral-atom scattering factors, no anomalous dispersion.

Main lines, in order of falling intensity (2θ = 10–80°):
- 2θ 19.45, I 100
- 2θ 30.17, I 67
- 2θ 17.56, I 61
- 2θ 30.62, I 43
- 2θ 29.63, I 39
- 2θ 56.61, I 29
- 2θ 25.17, I 27
- 2θ 31.98, I 26
- 2θ 43.88, I 25
- 2θ 30.99, I 24

Atomic structure:
```
data_RbMnCl5
_chemical_formula_sum 'Rb4 Mn4 Cl20'
_cell_length_a 11.203
_cell_length_b 7.157
_cell_length_c 11.922
_cell_angle_alpha 90.00
_cell_angle_beta 115.62
_cell_angle_gamma 90.00
_space_group_name_H-M_alt 'C 1 c 1'
_space_group_IT_number 9
loop_
_space_group_symop_operation_xyz
'x,y,z'
'x,-y,z+1/2'
'x+1/2,y+1/2,z'
'x+1/2,-y+1/2,z+1/2'
loop_
_atom_site_label
_atom_site_fract_x
_atom_site_fract_y
_atom_site_fract_z
_atom_site_occupancy
Rb1 0.000 0.049 0.000 1
Mn1 0.485 0.025 0.779 1
Cl1 0.109 0.219 0.306 1
Cl2 0.170 0.356 0.867 1
Cl3 0.314 0.185 0.639 1
Cl4 0.375 0.240 0.199 1
Cl5 0.444 0.051 0.939 1
```

***

Record 10
Diffraction record for Zr3TaCo2N. The PXRD pattern is calculated, not measured: it uses a DFT-relaxed cell (PBE, Alexandria) and Cu Ka.
Neutral-atom scattering factors, no anomalous dispersion.

Main lines, in order of falling intensity (2θ = 10–80°):
- 2θ 32.78, I 100
- 2θ 41.08, I 53
- 2θ 13.83, I 31
- 2θ 41.47, I 30
- 2θ 43.12, I 27
- 2θ 40.88, I 22
- 2θ 61.37, I 18
- 2θ 42.35, I 15
- 2θ 60.92, I 13
- 2θ 70.16, I 11

Atomic structure:
```
data_Zr3TaCo2N
_chemical_formula_sum 'Zr6 Ta2 Co4 N2'
_cell_length_a 4.195
_cell_length_b 4.355
_cell_length_c 12.806
_cell_angle_alpha 90.00
_cell_angle_beta 90.00
_cell_angle_gamma 90.00
_space_group_name_H-M_alt 'I m m m'
_space_group_IT_number 71
_space_group_name_Hall '-I 2 2'
loop_
_atom_site_label
_atom_site_fract_x
_atom_site_fract_y
_atom_site_fract_z
_atom_site_occupancy
Zr1 0.000 0.000 0.000 1
Zr2 0.000 0.500 0.187 1
Ta1 0.000 0.000 0.500 1
Co1 0.000 0.500 0.374 1
N1 0.000 0.500 0.000 1
```

***

Record 11
Diffraction record for CdIn2SnHg2. The PXRD pattern is calculated, not measured: it uses a DFT-relaxed cell (PBE, Alexandria) and Cu Ka.
Neutral-atom scattering factors, no anomalous dispersion.

Main lines, in order of falling intensity (2θ = 10–80°):
- 2θ 32.85, I 100
- 2θ 33.23, I 97
- 2θ 38.37, I 62
- 2θ 55.31, I 43
- 2θ 38.26, I 36
- 2θ 65.72, I 34
- 2θ 66.37, I 20
- 2θ 65.99, I 13
- 2θ 68.87, I 10
- 2θ 54.89, I 9

Atomic structure:
```
data_CdIn2SnHg2
_chemical_formula_sum 'Cd2 In4 Sn2 Hg4'
_cell_length_a 4.705
_cell_length_b 10.037
_cell_length_c 6.580
_cell_angle_alpha 90.00
_cell_angle_beta 90.00
_cell_angle_gamma 90.00
_space_group_name_H-M_alt 'P m c 21'
_space_group_IT_number 26
loop_
_space_group_symop_operation_xyz
'x,y,z'
'-x,-y,z+1/2'
'-x,y,z'
'x,-y,z+1/2'
loop_
_atom_site_label
_atom_site_fract_x
_atom_site_fract_y
_atom_site_fract_z
_atom_site_occupancy
Cd1 0.000 0.177 0.000 1
In1 0.000 0.493 0.459 1
In2 0.500 0.316 0.717 1
Sn1 0.500 0.024 0.254 1
Hg1 0.000 0.159 0.507 1
Hg2 0.500 0.347 0.213 1
```

***

Record 12
Diffraction record for PaTl4I10. The PXRD pattern is calculated, not measured: it uses a DFT-relaxed cell (PBE, Alexandria) and Cu Ka.
Neutral-atom scattering factors, no anomalous dispersion.

Main lines, in order of falling intensity (2θ = 10–80°):
- 2θ 30.77, I 100
- 2θ 18.86, I 73
- 2θ 31.56, I 48
- 2θ 55.70, I 29
- 2θ 37.02, I 25
- 2θ 45.23, I 16
- 2θ 35.65, I 15
- 2θ 54.22, I 15
- 2θ 48.34, I 14
- 2θ 64.10, I 9

Atomic structure:
```
data_PaTl4I10
_chemical_formula_sum 'Pa2 Tl8 I20'
_cell_length_a 12.679
_cell_length_b 12.679
_cell_length_c 8.434
_cell_angle_alpha 90.00
_cell_angle_beta 90.00
_cell_angle_gamma 90.00
_space_group_name_H-M_alt 'I 4/m'
_space_group_IT_number 87
_space_group_name_Hall '-I 4'
loop_
_atom_site_label
_atom_site_fract_x
_atom_site_fract_y
_atom_site_fract_z
_atom_site_occupancy
Pa1 0.000 0.000 0.000 1
Tl1 0.093 0.688 0.500 1
I1 0.000 0.500 0.250 1
I2 0.099 0.177 0.218 1
```